This entry pairs a crystal structure of Mg2Sn with its simulated X-ray diffraction stick pattern. Radiation: CuKα. Structure: a DFT-relaxed cell (GGA-PBE, the Materials Project).
Peak positions follow from Bragg's law for the DFT cell and can differ from measured ones.

Principal peaks in the range 2θ = 10–80°, by intensity:
35.81 deg, intensity 100
16.77 deg, intensity 55
37.58 deg, intensity 41
31.40 deg, intensity 39
33.92 deg, intensity 34
10.99 deg, intensity 27
46.89 deg, intensity 26
61.92 deg, intensity 20
33.38 deg, intensity 17
69.30 deg, intensity 17

Atomic structure:
```
data_Mg2Sn
_cell_length_a 5.286
_cell_length_b 3.361
_cell_length_c 16.106
_cell_angle_alpha 90.00
_cell_angle_beta 90.00
_cell_angle_gamma 90.00
_space_group_name_H-M_alt 'A m m 2'
_space_group_IT_number 38
_space_group_name_Hall 'A 2 -2'
loop_
_atom_site_label
_atom_site_fract_x
_atom_site_fract_y
_atom_site_fract_z
Mg1 0.000 0.000 0.000
Mg2 0.000 0.000 0.333
Mg3 0.000 0.000 0.666
Mg4 0.500 0.000 0.887
Sn1 0.500 0.000 0.225
Sn2 0.500 0.000 0.550
```